Record 1
Structure and computed X-ray diffraction stick pattern of Re3PdO (the PBE geometry in Alexandria; CuKα).
No peak broadening, texture or thermal motion is included.

Structure:
a = 4.0802 Å, b = 4.0802 Å, c = 4.0802 Å
α = 90.00°, β = 90.00°, γ = 90.00°
Atoms (fractional coordinates):
Re: 0.0000 0.0000 0.5000
Re: 0.0000 0.5000 0.0000
Re: 0.5000 0.0000 0.0000
Pd: 0.5000 0.5000 0.5000
O: 0.0000 0.0000 0.0000

Principal peaks in the range 2θ from 15° to 90°, sorted by position:
2θ/deg	intensity
21.8	6
31.0	2
38.2	100
44.4	54
50.0	3
55.1	1
64.6	35
69.1	1
77.6	39
81.8	12

---

Record 2
Structure and computed X-ray diffraction stick pattern of PdRhO3 (the PBE geometry in Alexandria; CuKα).
No peak broadening, texture or thermal motion is included.

Structure:
a = 6.2730 Å, b = 6.2730 Å, c = 3.1145 Å
α = 90.00°, β = 90.00°, γ = 107.67°
Atoms (fractional coordinates):
Pd: 0.0000 0.0000 0.0000
Pd: 0.5000 0.5000 0.0000
Rh: 0.0000 0.5000 0.5000
Rh: 0.5000 0.0000 0.5000
O: 0.1432 0.8568 0.5000
O: 0.1743 0.4443 0.0000
O: 0.4443 0.1743 0.0000
O: 0.5557 0.8257 0.0000
O: 0.8257 0.5557 0.0000
O: 0.8568 0.1432 0.5000

Principal peaks in the range 2θ from 15° to 90°, sorted by position:
2θ/deg	intensity
29.9	100
33.8	72
35.5	19
37.7	35
49.2	14
52.7	53
60.3	13
61.0	26
62.6	12
67.9	18

---

Record 3
Structure and computed X-ray diffraction stick pattern of TlPdRu2O8 (the PBE geometry in Alexandria; CuKα).
No peak broadening, texture or thermal motion is included.

Structure:
a = 9.3610 Å, b = 9.3610 Å, c = 9.3610 Å
α = 32.93°, β = 32.93°, γ = 32.93°
Atoms (fractional coordinates):
Tl: 0.0000 0.0000 0.0000
Pd: 0.5000 0.5000 0.5000
Ru: 0.2429 0.2429 0.2429
Ru: 0.7571 0.7571 0.7571
O: 0.1116 0.4893 0.7403
O: 0.2597 0.5107 0.8884
O: 0.3093 0.3093 0.3093
O: 0.4893 0.7403 0.1116
O: 0.5107 0.8884 0.2597
O: 0.6907 0.6907 0.6907
O: 0.7403 0.1116 0.4893
O: 0.8885 0.2597 0.5107

Principal peaks in the range 2θ from 15° to 90°, sorted by position:
2θ/deg	intensity
23.6	100
33.3	31
33.8	36
41.6	19
48.2	13
54.0	19
54.6	19
60.1	12
60.4	10
76.0	8

---

Record 4
Structure and computed X-ray diffraction stick pattern of Tb2ScPdO6 (the PBE geometry in Alexandria; CuKα).
No peak broadening, texture or thermal motion is included.

Structure:
a = 5.5165 Å, b = 5.6451 Å, c = 5.7571 Å
α = 61.71°, β = 89.94°, γ = 61.54°
Atoms (fractional coordinates):
Tb: 0.0000 0.0000 0.0000
Tb: 0.4988 0.9955 0.5092
Sc: 0.7203 0.5539 0.1601
Pd: 0.2116 0.5684 0.6404
O: 0.0833 0.4753 0.3690
O: 0.3411 0.7176 0.8573
O: 0.4302 0.7141 0.3629
O: 0.6002 0.0339 0.8720
O: 0.8272 0.0942 0.3377
O: 0.9313 0.4816 0.8572

Principal peaks in the range 2θ from 15° to 90°, sorted by position:
2θ/deg	intensity
22.3	88
30.3	100
30.7	95
31.1	88
31.4	96
31.7	90
32.5	85
45.6	75
50.4	52
55.6	49

---

Record 5
Structure and computed X-ray diffraction stick pattern of PdSeO (the PBE geometry in Alexandria; CuKα).
No peak broadening, texture or thermal motion is included.

Structure:
a = 4.3040 Å, b = 4.3074 Å, c = 6.7589 Å
α = 100.90°, β = 90.40°, γ = 90.02°
Atoms (fractional coordinates):
Pd: 0.0000 0.0000 0.0000
Pd: 0.4983 0.2610 0.8457
Se: 0.3548 0.6443 0.1337
Se: 0.8504 0.6166 0.7120
O: 0.0983 0.3904 0.2298
O: 0.5924 0.8709 0.6159

Principal peaks in the range 2θ from 15° to 90°, sorted by position:
2θ/deg	intensity
24.6	18
24.7	18
27.1	14
29.6	15
30.9	100
37.4	63
37.6	23
46.3	25
47.4	18
47.9	15

---

Record 6
Structure and computed X-ray diffraction stick pattern of PdSeO2 (the PBE geometry in Alexandria; CuKα).
No peak broadening, texture or thermal motion is included.

Structure:
a = 5.7531 Å, b = 12.3205 Å, c = 3.3971 Å
α = 90.00°, β = 90.00°, γ = 90.00°
Atoms (fractional coordinates):
Pd: 0.0000 0.0000 0.0000
Pd: 0.0000 0.5000 0.0000
Pd: 0.5000 0.0000 0.5000
Pd: 0.5000 0.5000 0.5000
Se: 0.2500 0.2500 0.2500
Se: 0.2500 0.7500 0.7500
Se: 0.7500 0.2500 0.2500
Se: 0.7500 0.7500 0.7500
O: 0.2500 0.0911 0.2500
O: 0.2500 0.4089 0.2500
O: 0.2500 0.5911 0.7500
O: 0.2500 0.9089 0.7500
O: 0.7500 0.0911 0.2500
O: 0.7500 0.4089 0.2500
O: 0.7500 0.5911 0.7500
O: 0.7500 0.9089 0.7500

Principal peaks in the range 2θ from 15° to 90°, sorted by position:
2θ/deg	intensity
27.2	60
29.0	71
30.6	53
33.9	81
34.4	100
41.8	36
42.6	42
54.9	49
56.2	37
63.6	25

---

Record 7
Structure and computed X-ray diffraction stick pattern of Sm2PdO4 (the PBE geometry in Alexandria; CuKα).
No peak broadening, texture or thermal motion is included.

Structure:
a = 6.8575 Å, b = 6.8575 Å, c = 5.6765 Å
α = 90.00°, β = 90.00°, γ = 48.93°
Atoms (fractional coordinates):
Sm: 0.1572 0.1572 0.0000
Sm: 0.3428 0.3428 0.5000
Sm: 0.6572 0.6572 0.5000
Sm: 0.8428 0.8428 0.0000
Pd: 0.0000 0.0000 0.5000
Pd: 0.5000 0.5000 0.0000
O: 0.0097 0.4903 0.7500
O: 0.1831 0.8169 0.8169
O: 0.3169 0.6831 0.3169
O: 0.4903 0.0097 0.2500
O: 0.5097 0.9903 0.7500
O: 0.6831 0.3169 0.6831
O: 0.8169 0.1831 0.1831
O: 0.9903 0.5097 0.2500

Principal peaks in the range 2θ from 15° to 90°, sorted by position:
2θ/deg	intensity
30.9	100
31.5	37
43.5	9
45.2	23
54.7	20
55.8	41
64.5	11
74.5	7
74.8	7
89.2	9

---

Record 8
Structure and computed X-ray diffraction stick pattern of Sm2YPdO5 (the PBE geometry in Alexandria; CuKα).
No peak broadening, texture or thermal motion is included.

Structure:
a = 6.5257 Å, b = 6.5257 Å, c = 5.9154 Å
α = 90.00°, β = 90.00°, γ = 90.00°
Atoms (fractional coordinates):
Sm: 0.1639 0.3361 0.0000
Sm: 0.3361 0.8361 0.0000
Sm: 0.6639 0.1639 0.0000
Sm: 0.8361 0.6639 0.0000
Y: 0.0000 0.0000 0.5000
Y: 0.5000 0.5000 0.5000
Pd: 0.0000 0.5000 0.5000
Pd: 0.5000 0.0000 0.5000
O: 0.0000 0.0000 0.0000
O: 0.1678 0.6678 0.2601
O: 0.1678 0.6678 0.7399
O: 0.3322 0.1678 0.2601
O: 0.3322 0.1678 0.7399
O: 0.5000 0.5000 0.0000
O: 0.6678 0.8322 0.2601
O: 0.6678 0.8322 0.7399
O: 0.8322 0.3322 0.2601
O: 0.8322 0.3322 0.7399

Principal peaks in the range 2θ from 15° to 90°, sorted by position:
2θ/deg	intensity
30.2	53
30.6	31
31.3	100
34.3	81
39.0	24
43.6	58
46.6	22
50.1	18
54.4	22
58.7	20

---

Record 9
Structure and computed X-ray diffraction stick pattern of Sm2ZnPdO5 (the PBE geometry in Alexandria; CuKα).
No peak broadening, texture or thermal motion is included.

Structure:
a = 6.6803 Å, b = 6.6803 Å, c = 5.7204 Å
α = 90.00°, β = 90.00°, γ = 90.00°
Atoms (fractional coordinates):
Sm: 0.1720 0.3280 0.0000
Sm: 0.3280 0.8280 0.0000
Sm: 0.6720 0.1720 0.0000
Sm: 0.8280 0.6720 0.0000
Zn: 0.0000 0.0000 0.5000
Zn: 0.5000 0.5000 0.5000
Pd: 0.0000 0.5000 0.5000
Pd: 0.5000 0.0000 0.5000
O: 0.0000 0.0000 0.0000
O: 0.1440 0.6440 0.2485
O: 0.1440 0.6440 0.7515
O: 0.3560 0.1440 0.2485
O: 0.3560 0.1440 0.7515
O: 0.5000 0.5000 0.0000
O: 0.6440 0.8560 0.2485
O: 0.6440 0.8560 0.7515
O: 0.8560 0.3560 0.2485
O: 0.8560 0.3560 0.7515

Principal peaks in the range 2θ from 15° to 90°, sorted by position:
2θ/deg	intensity
15.5	23
18.8	21
29.9	28
31.0	100
31.3	41
33.9	70
38.1	23
43.8	50
45.8	23
55.5	19

---

Record 10
Structure and computed X-ray diffraction stick pattern of Sr3PdO4 (the PBE geometry in Alexandria; CuKα).
No peak broadening, texture or thermal motion is included.

Structure:
a = 6.1870 Å, b = 6.1870 Å, c = 6.1870 Å
α = 90.00°, β = 90.00°, γ = 90.00°
Atoms (fractional coordinates):
Sr: 0.0000 0.0000 0.5000
Sr: 0.0000 0.5000 0.0000
Sr: 0.0000 0.5000 0.5000
Sr: 0.5000 0.0000 0.0000
Sr: 0.5000 0.0000 0.5000
Sr: 0.5000 0.5000 0.0000
Pd: 0.0000 0.0000 0.0000
Pd: 0.5000 0.5000 0.5000
O: 0.2170 0.2170 0.7830
O: 0.2170 0.7830 0.2170
O: 0.2830 0.2830 0.2830
O: 0.2830 0.7170 0.7170
O: 0.7170 0.2830 0.7170
O: 0.7170 0.7170 0.2830
O: 0.7830 0.2170 0.2170
O: 0.7830 0.7830 0.7830

Principal peaks in the range 2θ from 15° to 90°, sorted by position:
2θ/deg	intensity
20.3	2
28.9	70
35.5	2
41.3	100
51.1	21
55.6	1
59.8	15
67.7	29
75.2	30
89.6	9

---

Record 11
Structure and computed X-ray diffraction stick pattern of SrPd3O4 (the PBE geometry in Alexandria; CuKα).
No peak broadening, texture or thermal motion is included.

Structure:
a = 5.9216 Å, b = 5.9216 Å, c = 5.9216 Å
α = 90.00°, β = 90.00°, γ = 90.00°
Atoms (fractional coordinates):
Sr: 0.0000 0.0000 0.0000
Sr: 0.5000 0.5000 0.5000
Pd: 0.0000 0.2500 0.5000
Pd: 0.0000 0.7500 0.5000
Pd: 0.2500 0.5000 0.0000
Pd: 0.5000 0.0000 0.2500
Pd: 0.5000 0.0000 0.7500
Pd: 0.7500 0.5000 0.0000
O: 0.2500 0.2500 0.2500
O: 0.2500 0.2500 0.7500
O: 0.2500 0.7500 0.2500
O: 0.2500 0.7500 0.7500
O: 0.7500 0.2500 0.2500
O: 0.7500 0.2500 0.7500
O: 0.7500 0.7500 0.2500
O: 0.7500 0.7500 0.7500

Principal peaks in the range 2θ from 15° to 90°, sorted by position:
2θ/deg	intensity
30.2	12
33.8	100
37.2	64
53.6	16
56.0	23
58.3	34
62.8	19
73.3	20
75.3	8
89.0	19

---

Record 12
Structure and computed X-ray diffraction stick pattern of Sr15Pd5O24 (the PBE geometry in Alexandria; CuKα).
No peak broadening, texture or thermal motion is included.

Structure:
a = 6.9203 Å, b = 6.9203 Å, c = 13.8211 Å
α = 90.16°, β = 90.16°, γ = 90.17°
Atoms (fractional coordinates):
Sr: 0.0000 0.0000 0.0000
Sr: 0.1280 0.8682 0.7505
Sr: 0.1295 0.4982 0.9334
Sr: 0.1314 0.5013 0.4366
Sr: 0.1318 0.8720 0.2495
Sr: 0.2599 0.3700 0.1845
Sr: 0.2704 0.3687 0.6798
Sr: 0.4987 0.8686 0.5634
Sr: 0.5018 0.8705 0.0666
Sr: 0.6300 0.7401 0.8155
Sr: 0.6313 0.3687 0.0000
Sr: 0.6313 0.7296 0.3202
Sr: 0.7569 0.2375 0.7436
Sr: 0.7625 0.2431 0.2564
Sr: 0.9891 0.0109 0.5000
Pd: 0.3805 0.1194 0.8741
Pd: 0.3812 0.1205 0.3764
Pd: 0.6284 0.3716 0.5000
Pd: 0.8795 0.6188 0.6236
Pd: 0.8806 0.6195 0.1259
O: 0.0942 0.1773 0.8378
O: 0.0967 0.1793 0.3392
O: 0.1648 0.6933 0.5966
O: 0.1666 0.6916 0.0956
O: 0.3067 0.8352 0.4034
O: 0.3084 0.8334 0.9044
O: 0.3227 0.1938 0.0179
O: 0.3308 0.1955 0.5181
O: 0.4366 0.0428 0.7315
O: 0.4401 0.0514 0.2329
O: 0.4545 0.4064 0.8432
O: 0.4606 0.4039 0.3558
O: 0.5936 0.5455 0.1568
O: 0.5961 0.5394 0.6442
O: 0.6642 0.0710 0.4155
O: 0.6677 0.0614 0.9101
O: 0.8045 0.6692 0.4819
O: 0.8062 0.6773 0.9821
O: 0.8207 0.9033 0.6608
O: 0.8227 0.9058 0.1622
O: 0.9290 0.3358 0.5845
O: 0.9386 0.3323 0.0899
O: 0.9486 0.5599 0.7671
O: 0.9572 0.5634 0.2685

Principal peaks in the range 2θ from 15° to 90°, sorted by position:
2θ/deg	intensity
18.1	31
28.9	42
28.9	19
31.6	100
36.8	30
39.0	14
41.3	30
43.4	36
56.4	34
56.5	14